Record 1
Starting from a DFT-relaxed cell (GGA-PBE, the Materials Project), the XRD peak list of Pr12Os5C15 was simulated for Cu Kα, 1.54184 Å.
No peak broadening, texture or thermal motion is included.

Most intense lines, 2θ = 10–80°, in order of rising 2θ:
- 18.9°, intensity 11
- 29.7°, intensity 100
- 32.6°, intensity 25
- 33.2°, intensity 41
- 33.8°, intensity 41
- 36.5°, intensity 19
- 37.8°, intensity 9
- 48.1°, intensity 31
- 57.1°, intensity 16
- 66.3°, intensity 9

Structural model:
```
Pr12Os5C15
1.0
11.052 0.000 0.000
-5.526 9.571 0.000
0.000 0.000 5.401
Pr Os C
12 5 15
direct
0.000 0.427 0.000
0.000 0.794 0.000
0.184 0.726 0.500
0.206 0.206 0.000
0.274 0.458 0.500
0.427 0.000 0.000
0.458 0.274 0.500
0.542 0.816 0.500
0.573 0.573 0.000
0.726 0.184 0.500
0.794 0.000 0.000
0.816 0.542 0.500
0.000 0.160 0.500
0.160 0.000 0.500
0.333 0.667 0.000
0.667 0.333 0.000
0.840 0.840 0.500
0.000 0.330 0.500
0.000 0.451 0.500
0.000 0.801 0.500
0.187 0.712 0.000
0.199 0.199 0.500
0.288 0.475 0.000
0.330 0.000 0.500
0.451 0.000 0.500
0.475 0.288 0.000
0.525 0.813 0.000
0.549 0.549 0.500
0.670 0.670 0.500
0.712 0.187 0.000
0.801 0.000 0.500
0.813 0.525 0.000
```

Record 2
Starting from a DFT-relaxed cell (GGA-PBE, the Materials Project), the XRD peak list of Hf2SiMo3 was simulated for Cu Kα, 1.54184 Å.
No peak broadening, texture or thermal motion is included.

Most intense lines, 2θ = 10–80°, in order of rising 2θ:
- 28.4°, intensity 26
- 33.8°, intensity 37
- 37.0°, intensity 100
- 39.3°, intensity 26
- 40.0°, intensity 80
- 40.7°, intensity 76
- 62.6°, intensity 40
- 64.7°, intensity 19
- 68.1°, intensity 34
- 71.2°, intensity 24

Structural model:
```
Hf2SiMo3
1.0
5.300 0.000 0.000
-2.650 4.590 0.000
0.000 0.000 8.598
Hf Si Mo
4 2 6
direct
0.333 0.667 0.063
0.333 0.667 0.437
0.667 0.333 0.563
0.667 0.333 0.937
0.000 0.000 0.000
0.000 0.000 0.500
0.170 0.340 0.750
0.170 0.830 0.750
0.340 0.170 0.250
0.660 0.830 0.750
0.830 0.170 0.250
0.830 0.660 0.250
```

Record 3
Starting from a DFT-relaxed cell (GGA-PBE, the Materials Project), the XRD peak list of TbSn3 was simulated for Cu Kα, 1.54184 Å.
No peak broadening, texture or thermal motion is included.

Most intense lines, 2θ = 10–80°, in order of rising 2θ:
- 30.9°, intensity 71
- 32.3°, intensity 43
- 34.9°, intensity 100
- 40.4°, intensity 35
- 40.7°, intensity 29
- 52.6°, intensity 22
- 52.8°, intensity 22
- 58.7°, intensity 20
- 61.8°, intensity 26
- 68.5°, intensity 20

Structural model:
```
TbSn3
1.0
4.466 0.000 0.000
0.000 4.437 0.000
0.000 0.000 22.205
Tb Sn
4 12
direct
0.000 0.000 0.000
0.000 0.500 0.500
0.500 0.000 0.269
0.500 0.500 0.769
0.000 0.000 0.383
0.000 0.000 0.619
0.000 0.000 0.755
0.000 0.500 0.119
0.000 0.500 0.255
0.000 0.500 0.883
0.500 0.000 0.119
0.500 0.000 0.508
0.500 0.000 0.883
0.500 0.500 0.008
0.500 0.500 0.383
0.500 0.500 0.619
```

Record 4
Starting from a DFT-relaxed cell (GGA-PBE, the Materials Project), the XRD peak list of ThNb4O12 was simulated for Cu Kα, 1.54184 Å.
No peak broadening, texture or thermal motion is included.

Most intense lines, 2θ = 10–80°, in order of rising 2θ:
- 11.2°, intensity 37
- 15.9°, intensity 40
- 19.4°, intensity 47
- 22.5°, intensity 27
- 25.2°, intensity 30
- 32.0°, intensity 100
- 37.7°, intensity 19
- 45.9°, intensity 42
- 57.0°, intensity 25
- 57.2°, intensity 26

Structural model:
```
ThNb4O12
1.0
5.605 0.000 0.000
0.000 7.907 0.000
0.000 0.000 5.576
Th Nb O
1 4 12
direct
0.000 0.000 0.000
0.000 0.259 0.499
0.000 0.741 0.499
0.500 0.259 0.998
0.500 0.741 0.998
0.000 0.000 0.411
0.000 0.500 0.553
0.233 0.198 0.757
0.233 0.802 0.757
0.243 0.264 0.235
0.243 0.736 0.235
0.500 0.000 0.046
0.500 0.500 0.923
0.757 0.264 0.235
0.757 0.736 0.235
0.767 0.198 0.757
0.767 0.802 0.757
```

Record 5
Starting from a DFT-relaxed cell (GGA-PBE, the Materials Project), the XRD peak list of Gd2NiIr was simulated for Cu Kα, 1.54184 Å.
No peak broadening, texture or thermal motion is included.

Most intense lines, 2θ = 10–80°, in order of rising 2θ:
- 22.4°, intensity 11
- 25.9°, intensity 1
- 37.0°, intensity 100
- 43.7°, intensity 6
- 53.3°, intensity 17
- 58.5°, intensity 3
- 66.7°, intensity 36
- 71.3°, intensity 2
- 78.8°, intensity 11

Structural model:
```
Gd2NiIr
1.0
6.874 0.000 0.000
0.000 6.874 0.000
0.000 0.000 6.874
Gd Ni Ir
8 4 4
direct
0.250 0.250 0.250
0.250 0.250 0.750
0.250 0.750 0.250
0.250 0.750 0.750
0.750 0.250 0.250
0.750 0.250 0.750
0.750 0.750 0.250
0.750 0.750 0.750
0.000 0.000 0.000
0.000 0.500 0.500
0.500 0.000 0.500
0.500 0.500 0.000
0.000 0.000 0.500
0.000 0.500 0.000
0.500 0.000 0.000
0.500 0.500 0.500
```

Record 6
Starting from a DFT-relaxed cell (GGA-PBE, the Materials Project), the XRD peak list of Na4Ti6O13 was simulated for Cu Kα, 1.54184 Å.
No peak broadening, texture or thermal motion is included.

Most intense lines, 2θ = 10–80°, in order of rising 2θ:
- 12.4°, intensity 100
- 15.2°, intensity 66
- 29.2°, intensity 56
- 30.5°, intensity 92
- 30.8°, intensity 43
- 32.3°, intensity 37
- 40.0°, intensity 45
- 43.5°, intensity 46
- 45.3°, intensity 36
- 45.6°, intensity 87

Structural model:
```
Na4Ti6O13
1.0
7.168 -1.988 0.000
7.168 1.988 0.000
-0.477 0.000 9.328
Na Ti O
4 6 13
direct
0.012 0.012 0.149
0.099 0.099 0.400
0.901 0.901 0.600
0.988 0.988 0.851
0.256 0.256 0.719
0.328 0.328 0.042
0.388 0.388 0.371
0.612 0.612 0.629
0.672 0.672 0.958
0.744 0.744 0.281
0.118 0.118 0.644
0.192 0.192 0.941
0.257 0.257 0.254
0.319 0.319 0.560
0.371 0.371 0.862
0.432 0.432 0.173
0.500 0.500 0.500
0.568 0.568 0.827
0.629 0.629 0.138
0.681 0.681 0.440
0.743 0.743 0.746
0.808 0.808 0.059
0.882 0.882 0.356
```

Record 7
Starting from a DFT-relaxed cell (GGA-PBE, the Materials Project), the XRD peak list of CeSb3Pd was simulated for Cu Kα, 1.54184 Å.
No peak broadening, texture or thermal motion is included.

Most intense lines, 2θ = 10–80°, in order of rising 2θ:
- 30.4°, intensity 69
- 32.8°, intensity 100
- 33.9°, intensity 56
- 46.5°, intensity 18
- 47.0°, intensity 36
- 47.9°, intensity 42
- 57.0°, intensity 23
- 66.5°, intensity 17
- 69.4°, intensity 14
- 78.2°, intensity 16

Structural model:
```
CeSb3Pd
1.0
5.467 0.000 0.000
0.000 5.467 0.000
0.000 0.000 9.056
Ce Sb Pd
2 6 2
direct
0.250 0.250 0.238
0.750 0.750 0.762
0.250 0.250 0.618
0.250 0.750 0.000
0.250 0.750 0.500
0.750 0.250 0.000
0.750 0.250 0.500
0.750 0.750 0.382
0.250 0.250 0.909
0.750 0.750 0.091
```